(1)
Computed X-ray diffraction stick pattern
Compound: Na6HfBi4
Radiation: Cu Kα (λ = 1.5418 Å)
Structure: DFT lattice parameters and positions (GGA-PBE)

Cell and atoms:
```
Na6HfBi4
1.0
11.0944 0.0000 0.0000
-5.5472 9.6080 0.0000
0.0000 0.0000 6.4689
Na Hf Bi
12 2 8
Direct
0.0068 0.5034 0.0000 Na
0.1444 0.2887 0.2600 Na
0.1444 0.8556 0.2600 Na
0.2887 0.1444 0.7600 Na
0.4966 0.5034 0.0000 Na
0.4966 0.9932 0.0000 Na
0.5034 0.0068 0.5000 Na
0.5034 0.4966 0.5000 Na
0.7113 0.8556 0.2600 Na
0.8556 0.1444 0.7600 Na
0.8556 0.7113 0.7600 Na
0.9932 0.4966 0.5000 Na
0.3333 0.6667 0.7003 Hf
0.6667 0.3333 0.2003 Hf
0.1847 0.3694 0.7576 Bi
0.1847 0.8153 0.7576 Bi
0.3333 0.6667 0.2359 Bi
0.3694 0.1847 0.2576 Bi
0.6306 0.8153 0.7576 Bi
0.6667 0.3333 0.7359 Bi
0.8153 0.1847 0.2576 Bi
0.8153 0.6306 0.2576 Bi
```

Peak list (12 most intense, 2θ from 10° to 80°, low angle first)
2θ = 16.5°, intensity 30; 2θ = 18.5°, intensity 70; 2θ = 23.1°, intensity 98; 2θ = 27.6°, intensity 43; 2θ = 31.2°, intensity 19; 2θ = 32.3°, intensity 100; 2θ = 33.4°, intensity 56; 2θ = 40.0°, intensity 20; 2θ = 43.0°, intensity 65; 2θ = 43.4°, intensity 18; 2θ = 46.1°, intensity 21; 2θ = 67.0°, intensity 19

(2)
Computed X-ray diffraction stick pattern
Compound: NaHfBi2
Radiation: Cu Kα (λ = 1.5418 Å)
Structure: DFT lattice parameters and positions (GGA-PBE)

Cell and atoms:
```
NaHfBi2
1.0
1.7811 1.0283 10.9190
-1.7811 1.0283 10.9190
0.0000 -2.0566 10.9190
Na Hf Bi
1 1 2
Direct
0.0000 0.0000 0.0000 Na
0.5000 0.5000 0.5000 Hf
0.0968 0.0968 0.0968 Bi
0.9032 0.9032 0.9032 Bi
```

Peak list (12 most intense, 2θ from 10° to 80°, low angle first)
2θ = 29.5°, intensity 47; 2θ = 32.1°, intensity 100; 2θ = 32.8°, intensity 17; 2θ = 34.8°, intensity 28; 2θ = 36.5°, intensity 16; 2θ = 40.2°, intensity 64; 2θ = 41.3°, intensity 16; 2θ = 51.3°, intensity 33; 2θ = 61.8°, intensity 16; 2θ = 62.2°, intensity 17; 2θ = 64.4°, intensity 15; 2θ = 67.9°, intensity 23

(3)
Computed X-ray diffraction stick pattern
Compound: NaHfBiSb2
Radiation: Cu Kα (λ = 1.5418 Å)
Structure: DFT lattice parameters and positions (GGA-PBE)

Cell and atoms:
```
NaHfBiSb2
1.0
5.8034 0.0000 0.0000
0.0000 5.8034 0.0000
0.0000 0.0000 5.2047
Na Hf Bi Sb
1 1 1 2
Direct
0.0000 0.0000 0.0000 Na
0.5000 0.5000 0.0000 Hf
0.0000 0.0000 0.5000 Bi
0.0000 0.5000 0.5000 Sb
0.5000 0.0000 0.5000 Sb
```

Peak list (12 most intense, 2θ from 10° to 80°, low angle first)
2θ = 17.0°, intensity 24; 2θ = 23.0°, intensity 100; 2θ = 27.7°, intensity 28; 2θ = 30.8°, intensity 80; 2θ = 34.5°, intensity 31; 2θ = 35.4°, intensity 16; 2θ = 38.8°, intensity 53; 2θ = 44.1°, intensity 30; 2θ = 46.9°, intensity 51; 2θ = 57.2°, intensity 28; 2θ = 60.2°, intensity 15; 2θ = 72.9°, intensity 14

(4)
Computed X-ray diffraction stick pattern
Compound: Hf6NbBi
Radiation: Cu Kα (λ = 1.5418 Å)
Structure: DFT lattice parameters and positions (GGA-PBE)

Cell and atoms:
```
Hf6NbBi
1.0
5.6076 0.0000 0.0000
-0.0115 5.6096 0.0000
-0.0013 -0.0092 5.6139
Hf Nb Bi
6 1 1
Direct
0.0015 0.2573 0.4936 Hf
0.2429 0.0039 0.9989 Hf
0.4972 0.5027 0.7573 Hf
0.5028 0.4973 0.2427 Hf
0.7571 0.9961 0.0011 Hf
0.9985 0.7427 0.5064 Hf
0.0000 0.5000 0.0000 Nb
0.5000 0.0000 0.5000 Bi
```

Peak list (12 most intense, 2θ from 10° to 80°, low angle first)
2θ = 31.9°, intensity 29; 2θ = 35.8°, intensity 100; 2θ = 39.3°, intensity 61; 2θ = 39.4°, intensity 5; 2θ = 56.8°, intensity 7; 2θ = 59.4°, intensity 18; 2θ = 59.5°, intensity 7; 2θ = 61.8°, intensity 21; 2θ = 61.9°, intensity 14; 2θ = 66.7°, intensity 15; 2θ = 78.0°, intensity 10; 2θ = 78.1°, intensity 9

(5)
Computed X-ray diffraction stick pattern
Compound: Hf6NiBi2
Radiation: Cu Kα (λ = 1.5418 Å)
Structure: DFT lattice parameters and positions (GGA-PBE)

Cell and atoms:
```
Hf6NiBi2
1.0
5.8427 0.0000 0.0000
0.0000 7.1533 0.0000
-5.7774 0.0000 9.6380
Hf Ni Bi
12 2 4
Direct
0.1110 0.0354 0.2483 Hf
0.1110 0.4646 0.7483 Hf
0.1680 0.7256 0.0312 Hf
0.1680 0.7744 0.5312 Hf
0.3723 0.1680 0.0193 Hf
0.3723 0.3320 0.5193 Hf
0.6277 0.6680 0.4807 Hf
0.6277 0.8320 0.9807 Hf
0.8320 0.2256 0.4688 Hf
0.8320 0.2744 0.9688 Hf
0.8890 0.5354 0.2517 Hf
0.8890 0.9646 0.7517 Hf
0.5000 0.0000 0.5000 Ni
0.5000 0.5000 0.0000 Ni
0.3520 0.0911 0.7340 Bi
0.3520 0.4089 0.2340 Bi
0.6480 0.5911 0.7660 Bi
0.6480 0.9089 0.2660 Bi
```

Peak list (12 most intense, 2θ from 10° to 80°, low angle first)
2θ = 31.1°, intensity 100; 2θ = 33.1°, intensity 25; 2θ = 34.4°, intensity 47; 2θ = 34.5°, intensity 63; 2θ = 34.7°, intensity 33; 2θ = 34.9°, intensity 50; 2θ = 37.3°, intensity 70; 2θ = 38.1°, intensity 40; 2θ = 38.3°, intensity 40; 2θ = 40.9°, intensity 30; 2θ = 42.0°, intensity 33; 2θ = 43.6°, intensity 22

(6)
Computed X-ray diffraction stick pattern
Compound: Hf2Bi2O7
Radiation: Cu Kα (λ = 1.5418 Å)
Structure: DFT lattice parameters and positions (GGA-PBE)

Cell and atoms:
```
Hf2Bi2O7
1.0
5.4555 -5.4217 0.0000
5.4555 5.4217 0.0000
-5.4551 0.0000 5.4586
Hf Bi O
4 4 14
Direct
0.0005 0.0005 0.2512 Hf
0.0021 0.4995 0.2503 Hf
0.5005 0.9979 0.7497 Hf
0.9995 0.9995 0.7488 Hf
0.0011 0.5143 0.7082 Bi
0.4588 0.4425 0.1923 Bi
0.4857 0.9989 0.2918 Bi
0.5575 0.5412 0.8077 Bi
0.0404 0.3168 0.3871 O
0.0890 0.9110 0.0000 O
0.0978 0.3192 0.0298 O
0.3091 0.6909 0.5000 O
0.3264 0.0632 0.4826 O
0.3316 0.0926 0.9064 O
0.3762 0.6238 0.0000 O
0.6265 0.3735 0.5000 O
0.6621 0.3379 0.0000 O
0.6808 0.9022 0.9702 O
0.6832 0.9596 0.6129 O
0.9074 0.6684 0.0936 O
0.9368 0.6736 0.5174 O
0.9418 0.0582 0.5000 O
```

Peak list (12 most intense, 2θ from 10° to 80°, low angle first)
2θ = 23.1°, intensity 6; 2θ = 27.1°, intensity 7; 2θ = 28.4°, intensity 100; 2θ = 32.8°, intensity 23; 2θ = 33.0°, intensity 14; 2θ = 47.1°, intensity 11; 2θ = 47.3°, intensity 26; 2θ = 49.4°, intensity 5; 2θ = 55.9°, intensity 20; 2θ = 56.2°, intensity 15; 2θ = 58.7°, intensity 9; 2θ = 76.3°, intensity 8

(7)
Computed X-ray diffraction stick pattern
Compound: HfSnBiO6
Radiation: Cu Kα (λ = 1.5418 Å)
Structure: DFT lattice parameters and positions (GGA-PBE)

Cell and atoms:
```
HfSnBiO6
1.0
4.9509 0.0000 0.0000
0.0000 4.9509 0.0000
0.0000 0.0000 10.0878
Hf Sn Bi O
2 2 2 12
Direct
0.0000 0.0000 0.0000 Hf
0.5000 0.5000 0.5000 Hf
0.0000 0.0000 0.6609 Sn
0.5000 0.5000 0.1609 Sn
0.0000 0.0000 0.3306 Bi
0.5000 0.5000 0.8306 Bi
0.1790 0.1790 0.8288 O
0.2002 0.2002 0.5064 O
0.2012 0.2012 0.1499 O
0.2988 0.7012 0.6499 O
0.2998 0.7002 0.0064 O
0.3210 0.6790 0.3288 O
0.6790 0.3210 0.3288 O
0.7002 0.2998 0.0064 O
0.7012 0.2988 0.6499 O
0.7988 0.7988 0.1499 O
0.7998 0.7998 0.5064 O
0.8210 0.8210 0.8288 O
```

Peak list (12 most intense, 2θ from 10° to 80°, low angle first)
2θ = 25.4°, intensity 100; 2θ = 32.2°, intensity 91; 2θ = 36.3°, intensity 28; 2θ = 49.3°, intensity 71; 2θ = 52.3°, intensity 17; 2θ = 54.6°, intensity 8; 2θ = 59.0°, intensity 18; 2θ = 61.1°, intensity 18; 2θ = 62.7°, intensity 20; 2θ = 67.3°, intensity 11; 2θ = 74.7°, intensity 16; 2θ = 79.0°, intensity 10

(8)
Computed X-ray diffraction stick pattern
Compound: HfTl2Bi2O6
Radiation: Cu Kα (λ = 1.5418 Å)
Structure: DFT lattice parameters and positions (GGA-PBE)

Cell and atoms:
```
HfTl2Bi2O6
1.0
5.0842 -3.0056 0.0000
5.0842 3.0056 0.0000
-1.4576 0.0000 7.8777
Hf Tl Bi O
1 2 2 6
Direct
0.0000 0.0000 0.0000 Hf
0.2956 0.2956 0.7839 Tl
0.7044 0.7044 0.2161 Tl
0.3754 0.3754 0.2665 Bi
0.6246 0.6246 0.7335 Bi
0.2107 0.2107 0.0641 O
0.2411 0.7405 0.1797 O
0.2595 0.7589 0.8203 O
0.7405 0.2411 0.1797 O
0.7589 0.2595 0.8203 O
0.7893 0.7893 0.9359 O
```

Peak list (12 most intense, 2θ from 10° to 80°, low angle first)
2θ = 11.2°, intensity 37; 2θ = 17.2°, intensity 17; 2θ = 21.5°, intensity 15; 2θ = 22.6°, intensity 35; 2θ = 26.1°, intensity 23; 2θ = 27.2°, intensity 17; 2θ = 29.8°, intensity 100; 2θ = 30.7°, intensity 49; 2θ = 31.0°, intensity 46; 2θ = 37.6°, intensity 15; 2θ = 40.0°, intensity 21; 2θ = 50.4°, intensity 16

(9)
Computed X-ray diffraction stick pattern
Compound: Hf5BiOs
Radiation: Cu Kα (λ = 1.5418 Å)
Structure: DFT lattice parameters and positions (GGA-PBE)

Cell and atoms:
```
Hf5BiOs
1.0
4.7874 -3.6535 0.0000
4.7874 3.6535 0.0000
-3.9944 0.0000 9.3465
Hf Bi Os
10 2 2
Direct
0.0096 0.2363 0.9939 Hf
0.0804 0.3485 0.7414 Hf
0.1736 0.8264 0.7500 Hf
0.2363 0.0096 0.4939 Hf
0.3485 0.0804 0.2414 Hf
0.6515 0.9196 0.7586 Hf
0.7637 0.9904 0.5061 Hf
0.8264 0.1736 0.2500 Hf
0.9196 0.6515 0.2586 Hf
0.9904 0.7637 0.0061 Hf
0.4256 0.5744 0.2500 Bi
0.5744 0.4256 0.7500 Bi
0.0000 0.5000 0.5000 Os
0.5000 0.0000 0.0000 Os
```

Peak list (12 most intense, 2θ from 10° to 80°, low angle first)
2θ = 15.8°, intensity 15; 2θ = 21.5°, intensity 23; 2θ = 32.9°, intensity 25; 2θ = 35.0°, intensity 29; 2θ = 35.6°, intensity 94; 2θ = 37.3°, intensity 87; 2θ = 37.7°, intensity 58; 2θ = 38.5°, intensity 100; 2θ = 51.1°, intensity 16; 2θ = 64.2°, intensity 14; 2θ = 66.7°, intensity 17; 2θ = 70.0°, intensity 16

(10)
Computed X-ray diffraction stick pattern
Compound: HfBiOs3
Radiation: Cu Kα (λ = 1.5418 Å)
Structure: DFT lattice parameters and positions (GGA-PBE)

Cell and atoms:
```
HfBiOs3
1.0
4.8552 0.0000 0.0000
0.0000 4.8552 0.0000
0.0000 0.0000 4.8552
Hf Bi Os
1 1 3
Direct
0.0000 0.0000 0.0000 Hf
0.5000 0.5000 0.5000 Bi
0.0000 0.0000 0.5000 Os
0.0000 0.5000 0.0000 Os
0.5000 0.0000 0.0000 Os
```

Peak list (12 most intense, 2θ from 10° to 80°, low angle first)
2θ = 18.3°, intensity 16; 2θ = 26.0°, intensity 22; 2θ = 31.9°, intensity 77; 2θ = 37.0°, intensity 100; 2θ = 41.6°, intensity 8; 2θ = 45.8°, intensity 10; 2θ = 53.4°, intensity 71; 2θ = 60.3°, intensity 4; 2θ = 63.6°, intensity 33; 2θ = 66.7°, intensity 24; 2θ = 72.9°, intensity 5; 2θ = 78.9°, intensity 12

(11)
Computed X-ray diffraction stick pattern
Compound: HfPa3Bi4
Radiation: Cu Kα (λ = 1.5418 Å)
Structure: DFT lattice parameters and positions (GGA-PBE)

Cell and atoms:
```
HfPa3Bi4
1.0
5.7551 0.0000 0.0000
0.0000 6.5048 0.0000
0.0000 0.0000 12.3171
Hf Pa Bi
2 6 8
Direct
0.2500 0.2500 0.2211 Hf
0.7500 0.7500 0.7789 Hf
0.2500 0.0021 0.7162 Pa
0.2500 0.4979 0.7162 Pa
0.2500 0.7500 0.2121 Pa
0.7500 0.2500 0.7879 Pa
0.7500 0.5021 0.2838 Pa
0.7500 0.9979 0.2838 Pa
0.2500 0.0015 0.4363 Bi
0.2500 0.2500 0.9465 Bi
0.2500 0.4985 0.4363 Bi
0.2500 0.7500 0.9356 Bi
0.7500 0.2500 0.0644 Bi
0.7500 0.5015 0.5637 Bi
0.7500 0.7500 0.0535 Bi
0.7500 0.9985 0.5637 Bi
```

Peak list (12 most intense, 2θ from 10° to 80°, low angle first)
2θ = 28.4°, intensity 48; 2θ = 31.1°, intensity 61; 2θ = 32.4°, intensity 21; 2θ = 33.0°, intensity 78; 2θ = 38.6°, intensity 100; 2θ = 42.6°, intensity 33; 2θ = 56.5°, intensity 18; 2θ = 59.8°, intensity 17; 2θ = 60.4°, intensity 28; 2θ = 66.0°, intensity 15; 2θ = 67.1°, intensity 21; 2θ = 68.9°, intensity 23

(12)
Computed X-ray diffraction stick pattern
Compound: HfPaBi
Radiation: Cu Kα (λ = 1.5418 Å)
Structure: DFT lattice parameters and positions (GGA-PBE)

Cell and atoms:
```
HfPaBi
1.0
3.2453 0.0000 0.0000
0.0000 14.6932 0.0000
0.0000 0.0000 3.2453
Hf Pa Bi
2 2 2
Direct
0.0000 0.0715 0.0000 Hf
0.5000 0.9285 0.5000 Hf
0.0000 0.4183 0.9931 Pa
0.5000 0.5817 0.4931 Pa
0.0000 0.7651 0.9980 Bi
0.5000 0.2349 0.4980 Bi
```

Peak list (12 most intense, 2θ from 10° to 80°, low angle first)
2θ = 30.1°, intensity 3; 2θ = 30.4°, intensity 3; 2θ = 33.1°, intensity 100; 2θ = 36.7°, intensity 17; 2θ = 39.3°, intensity 33; 2θ = 50.5°, intensity 3; 2θ = 54.8°, intensity 22; 2θ = 56.7°, intensity 12; 2θ = 57.7°, intensity 4; 2θ = 63.8°, intensity 11; 2θ = 67.3°, intensity 27; 2θ = 69.5°, intensity 11

(13)
Computed X-ray diffraction stick pattern
Compound: Hf2PaBi2
Radiation: Cu Kα (λ = 1.5418 Å)
Structure: DFT lattice parameters and positions (GGA-PBE)

Cell and atoms:
```
Hf2PaBi2
1.0
4.9014 -6.0725 0.0000
4.9014 6.0725 0.0000
-3.3164 0.0000 4.6734
Hf Pa Bi
4 2 4
Direct
0.1165 0.2583 0.4405 Hf
0.2583 0.1165 0.9405 Hf
0.7417 0.8835 0.0595 Hf
0.8835 0.7417 0.5595 Hf
0.4235 0.5765 0.2500 Pa
0.5765 0.4235 0.7500 Pa
0.1435 0.8565 0.2500 Bi
0.2984 0.7016 0.7500 Bi
0.7016 0.2984 0.2500 Bi
0.8565 0.1435 0.7500 Bi
```

Peak list (12 most intense, 2θ from 10° to 80°, low angle first)
2θ = 22.2°, intensity 28; 2θ = 26.7°, intensity 14; 2θ = 31.2°, intensity 78; 2θ = 34.5°, intensity 22; 2θ = 35.2°, intensity 100; 2θ = 35.3°, intensity 99; 2θ = 40.3°, intensity 22; 2θ = 58.0°, intensity 14; 2θ = 58.3°, intensity 24; 2θ = 64.0°, intensity 18; 2θ = 72.8°, intensity 13; 2θ = 73.1°, intensity 14